This entry pairs a crystal structure of Tb5YMg3 with its theoretical X-ray diffraction stick pattern. Radiation: Cu Kα, 1.54184 Å. Structure: DFT lattice parameters and positions (GGA-PBE).

Most intense lines, 10° ≤ 2θ ≤ 90°, sorted by position:
| d (Å) | intensity |
| --- | --- |
| 3.890 | 58 |
| 2.795 | 100 |
| 2.709 | 90 |
| 1.945 | 35 |
| 1.580 | 36 |
| 1.564 | 17 |
| 1.464 | 27 |
| 1.219 | 15 |

Structural model:
a b c (Å): 9.3833 9.3833 6.9590
angles (deg): 90.00 90.00 120.00
Sites, in units of the cell vectors:
1 Tb 0.0000 0.3344 0.2500
2 Tb 0.0000 0.6656 0.7500
3 Tb 0.3333 0.6667 0.0000
4 Tb 0.3333 0.6667 0.5000
5 Tb 0.3344 0.0000 0.2500
6 Tb 0.3344 0.3344 0.7500
7 Tb 0.6656 0.0000 0.7500
8 Tb 0.6656 0.6656 0.2500
9 Tb 0.6667 0.3333 0.0000
10 Tb 0.6667 0.3333 0.5000
11 Y 0.0000 0.0000 0.0000
12 Y 0.0000 0.0000 0.5000
13 Mg 0.0000 0.3318 0.7500
14 Mg 0.0000 0.6682 0.2500
15 Mg 0.3318 0.0000 0.7500
16 Mg 0.3318 0.3318 0.2500
17 Mg 0.6682 0.0000 0.2500
18 Mg 0.6682 0.6682 0.7500

This entry pairs a crystal structure of CaPHO4 with its theoretical X-ray diffraction stick pattern. Radiation: Cu Kα, 1.54184 Å. Structure: DFT lattice parameters and positions (GGA-PBE).

Most intense lines, 10° ≤ 2θ ≤ 90°, sorted by position:
| d (Å) | intensity |
| --- | --- |
| 3.416 | 83 |
| 3.380 | 88 |
| 3.181 | 21 |
| 2.993 | 100 |
| 2.983 | 37 |
| 2.769 | 66 |
| 2.533 | 21 |
| 1.744 | 24 |

Structural model:
a b c (Å): 6.7219 6.9786 7.0965
angles (deg): 75.70 83.34 88.20
Sites, in units of the cell vectors:
1 Ca 0.0000 0.0000 0.0000
2 Ca 0.1125 0.4066 0.5442
3 Ca 0.3914 0.8964 0.6040
4 Ca 0.7164 0.5496 0.9414
5 P 0.1762 0.5008 0.9859
6 P 0.4993 0.9996 0.0584
7 P 0.6040 0.4031 0.4758
8 P 0.9350 0.9119 0.5486
9 H 0.2968 0.2512 0.2157
10 H 0.5608 0.7015 0.2910
11 H 0.6778 0.2395 0.8101
12 H 0.8227 0.1701 0.3196
13 O 0.0317 0.6690 0.0127
14 O 0.0445 0.0523 0.6423
15 O 0.0626 0.3587 0.8975
16 O 0.0784 0.7440 0.5202
17 O 0.2178 0.3832 0.2045
18 O 0.3480 0.9890 0.9180
19 O 0.3765 0.5704 0.8663
20 O 0.4011 0.0470 0.2477
21 O 0.4335 0.2548 0.5534
22 O 0.5014 0.6165 0.4310
23 O 0.6344 0.8128 0.1030
24 O 0.6625 0.1720 0.9599
25 O 0.7248 0.3765 0.2856
26 O 0.7332 0.8434 0.6663
27 O 0.7488 0.3934 0.6336
28 O 0.8960 0.0349 0.3307

This entry pairs a crystal structure of LiPuMgO4 with its theoretical X-ray diffraction stick pattern. Radiation: Cu Kα, 1.54184 Å. Structure: DFT lattice parameters and positions (GGA-PBE).

Most intense lines, 10° ≤ 2θ ≤ 90°, sorted by position:
| d (Å) | intensity |
| --- | --- |
| 5.024 | 100 |
| 4.309 | 26 |
| 2.827 | 48 |
| 2.605 | 19 |
| 2.294 | 24 |
| 2.073 | 17 |
| 2.025 | 15 |
| 1.570 | 15 |

Structural model:
a b c (Å): 6.3107 6.3107 6.3107
angles (deg): 121.33 114.35 93.88
Sites, in units of the cell vectors:
1 Li 0.3761 0.1261 0.2500
2 Li 0.6239 0.8739 0.7500
3 Pu 0.0000 0.5000 0.5000
4 Pu 0.5000 0.5000 0.0000
5 Mg 0.0000 0.0000 0.5000
6 Mg 0.0000 0.5000 0.0000
7 O 0.2007 0.7342 0.4665
8 O 0.2323 0.2658 0.9665
9 O 0.2457 0.2683 0.5227
10 O 0.2457 0.7230 0.9773
11 O 0.7543 0.2770 0.0227
12 O 0.7543 0.7317 0.4773
13 O 0.7677 0.7342 0.0335
14 O 0.7993 0.2658 0.5335